1.
The following is a simulated X-ray powder pattern of NaYTl2. It was derived from a PBE-relaxed structure, using λ = 1.5418 Å (Cu Kα).
Peak positions follow from Bragg's law for the DFT cell and can differ from measured ones.

The 10 most intense peaks (10 to 90 degrees two-theta), sorted by position:
two_theta	I (rel.)	hkl
23.36	36	2 0 0
33.28	100	2 2 0
41.06	12	2 2 2
47.77	18	4 0 0
53.84	16	4 2 0
59.46	38	4 2 2
69.87	12	4 4 0
74.80	8	6 0 0
79.62	16	6 2 0
84.36	5	6 2 2

Structure:
Cell lengths 7.6156, 7.6156, 7.6156 Å; angles 90.00, 90.00, 90.00 degrees
Space group Fm-3m (No. 225)
Asymmetric unit:
1 Na 0.0000 0.0000 0.0000 [4 per cell]
2 Y 0.0000 0.0000 0.5000 [4 per cell]
3 Tl 0.2500 0.2500 0.2500 [8 per cell]



2.
The following is a simulated X-ray powder pattern of Zn3Cd. It was derived from a PBE-relaxed structure, using λ = 1.5418 Å (Cu Kα).
Peak positions follow from Bragg's law for the DFT cell and can differ from measured ones.

The 10 most intense peaks (10 to 90 degrees two-theta), sorted by position:
two_theta	I (rel.)	hkl
21.34	2	0 0 2
24.32	6	1 0 1
37.97	100	1 1 2
43.47	17	0 0 4
44.46	32	2 0 0
63.93	20	2 0 4
64.70	10	2 2 0
76.12	12	1 1 6
77.54	22	3 1 2
81.19	10	2 2 4

Structure:
Cell lengths 4.0752, 4.0752, 8.3275 Å; angles 90.00, 90.00, 90.00 degrees
Space group I4/mmm (No. 139)
Asymmetric unit:
1 Zn 0.0000 0.0000 0.0000 [2 per cell]
2 Zn 0.0000 0.5000 0.2500 [4 per cell]
3 Cd 0.0000 0.0000 0.5000 [2 per cell]



3.
The following is a simulated X-ray powder pattern of BeNb4. It was derived from a PBE-relaxed structure, using λ = 1.5418 Å (Cu Kα).
Peak positions follow from Bragg's law for the DFT cell and can differ from measured ones.

The 10 most intense peaks (10 to 90 degrees two-theta), sorted by position:
two_theta	I (rel.)	hkl
16.94	11	1 1 1
34.27	100	2 2 2
39.78	46	4 0 0
43.53	9	3 3 1
52.46	16	3 3 3
57.52	28	4 4 0
68.70	27	6 2 2
72.22	7	4 4 4
74.81	9	5 5 1
81.59	8	7 3 1

Structure:
Cell lengths 9.0633, 9.0633, 9.0633 Å; angles 90.00, 90.00, 90.00 degrees
Space group Fd-3m (No. 227, origin choice 2)
Asymmetric unit:
1 Be 0.1250 0.1250 0.1250 [8 per cell]
2 Nb 0.0154 0.0154 0.7346 [32 per cell]



4.
The following is a simulated X-ray powder pattern of ThBC. It was derived from a PBE-relaxed structure, using λ = 1.5418 Å (Cu Kα).
Peak positions follow from Bragg's law for the DFT cell and can differ from measured ones.

The 10 most intense peaks (10 to 90 degrees two-theta), sorted by position:
two_theta	I (rel.)	hkl
25.81	74	1 0 3
28.22	48	0 0 8
29.48	78	1 0 5
34.27	100	1 1 2
39.91	17	1 1 6
48.09	19	2 0 0
49.59	37	1 1 10
56.28	18	2 1 4
56.70	18	2 0 8
57.42	18	2 1 5

Structure:
Cell lengths 3.7838, 3.7838, 25.2999 Å; angles 90.00, 90.00, 90.00 degrees
Space group P4_122 (No. 91)
Asymmetric unit:
1 Th 0.1964 0.2977 0.0705 [8 per cell]
2 B 0.2064 0.3425 0.2274 [8 per cell]
3 C 0.1950 0.2969 0.1684 [8 per cell]